Simulated X-ray diffraction stick pattern of Dy for Cu Kα (λ = 1.5418 Å), from the PBE geometry in OQMD.
Kinematic intensities with the Lorentz-polarization factor, no thermal factor.

Peak list (10 most intense, 10 to 80 degrees two-theta, by angle)
2θ = 28.60°, d = 3.121 Å, intensity 24, (1 0 0)
2θ = 31.74°, d = 2.819 Å, intensity 24, (0 0 2)
2θ = 32.80°, d = 2.730 Å, intensity 100, (1 0 1)
2θ = 43.25°, d = 2.092 Å, intensity 16, (1 0 2)
2θ = 50.66°, d = 1.802 Å, intensity 20, (1 1 0)
2θ = 57.22°, d = 1.610 Å, intensity 21, (1 0 3)
2θ = 61.04°, d = 1.518 Å, intensity 23, (1 1 2)
2θ = 61.68°, d = 1.504 Å, intensity 16, (2 0 1)
2θ = 68.76°, d = 1.365 Å, intensity 4, (2 0 2)
2θ = 79.91°, d = 1.200 Å, intensity 8, (2 0 3)

```
data_Dy
_cell_length_a 3.6036
_cell_length_b 3.6036
_cell_length_c 5.6377
_cell_angle_alpha 90.00
_cell_angle_beta 90.00
_cell_angle_gamma 120.00
_space_group_name_H-M_alt 'P 63/m m c'
_space_group_IT_number 194
_space_group_name_Hall '-P 6c 2c'
loop_
_atom_site_label
_atom_site_type_symbol
_atom_site_fract_x
_atom_site_fract_y
_atom_site_fract_z
Dy1 Dy 0.3333 0.6667 0.2500
```


Simulated X-ray diffraction stick pattern of SrHoSi4Os2 for Cu Kα (λ = 1.5418 Å), from the PBE geometry in OQMD.
Kinematic intensities with the Lorentz-polarization factor, no thermal factor.

Peak list (10 most intense, 10 to 80 degrees two-theta, by angle)
2θ = 10.90°, d = 8.119 Å, intensity 100, (0 0 1)
2θ = 29.82°, d = 2.997 Å, intensity 46, (1 1 0)
2θ = 30.31°, d = 2.949 Å, intensity 91, (1 1 -1)
2θ = 31.11°, d = 2.875 Å, intensity 70, (0 1 2)
2θ = 32.88°, d = 2.724 Å, intensity 37, (1 0 2)
2θ = 33.29°, d = 2.691 Å, intensity 29, (1 1 1)
2θ = 35.09°, d = 2.557 Å, intensity 48, (1 0 -3)
2θ = 39.98°, d = 2.255 Å, intensity 74, (2 0 -1)
2θ = 44.50°, d = 2.036 Å, intensity 33, (0 2 0)
2θ = 57.90°, d = 1.593 Å, intensity 23, (1 2 -3)

```
data_SrHoSi4Os2
_cell_length_a 4.5247
_cell_length_b 4.0716
_cell_length_c 8.2997
_cell_angle_alpha 90.00
_cell_angle_beta 101.97
_cell_angle_gamma 90.00
_space_group_name_H-M_alt 'P 1 m 1'
_space_group_IT_number 6
loop_
_space_group_symop_operation_xyz
'x,y,z'
'x,-y,z'
loop_
_atom_site_label
_atom_site_type_symbol
_atom_site_fract_x
_atom_site_fract_y
_atom_site_fract_z
Sr1 Sr 0.0000 0.0000 0.0000
Ho1 Ho 0.8282 0.5000 0.5959
Si1 Si 0.0895 0.5000 0.2998
Si2 Si 0.3810 0.0000 0.7116
Si3 Si 0.4549 0.5000 0.8939
Si4 Si 0.7577 0.0000 0.3157
Os1 Os 0.3050 0.0000 0.4233
Os2 Os 0.5440 0.5000 0.1941
```


Simulated X-ray diffraction stick pattern of FeSiW4C2 for Cu Kα (λ = 1.5418 Å), from the PBE geometry in OQMD.
Kinematic intensities with the Lorentz-polarization factor, no thermal factor.

Peak list (10 most intense, 10 to 80 degrees two-theta, by angle)
2θ = 14.10°, d = 6.281 Å, intensity 18, (0 0 2)
2θ = 28.42°, d = 3.140 Å, intensity 16, (0 0 4)
2θ = 33.82°, d = 2.650 Å, intensity 25, (1 0 0)
2θ = 34.59°, d = 2.593 Å, intensity 25, (1 0 1)
2θ = 40.27°, d = 2.239 Å, intensity 100, (1 0 3)
2θ = 43.21°, d = 2.094 Å, intensity 15, (0 0 6)
2θ = 60.51°, d = 1.530 Å, intensity 22, (1 1 0)
2θ = 62.50°, d = 1.486 Å, intensity 16, (1 0 7)
2θ = 75.21°, d = 1.263 Å, intensity 16, (2 0 3)
2θ = 77.24°, d = 1.235 Å, intensity 27, (1 1 6)

```
data_FeSiW4C2
_cell_length_a 3.0601
_cell_length_b 3.0601
_cell_length_c 12.5615
_cell_angle_alpha 90.00
_cell_angle_beta 90.00
_cell_angle_gamma 120.00
_space_group_name_H-M_alt 'P -6 m 2'
_space_group_IT_number 187
_space_group_name_Hall 'P -6 2'
loop_
_atom_site_label
_atom_site_type_symbol
_atom_site_fract_x
_atom_site_fract_y
_atom_site_fract_z
Fe1 Fe 0.0000 0.0000 0.0000
Si1 Si 0.3333 0.6667 0.5000
W1 W 0.0000 0.0000 0.3450
W2 W 0.3333 0.6667 0.1543
C1 C 0.6667 0.3333 0.2494
```